# Mg14AlNiO16
Theoretical powder diffractogram, CuKα. Input: the PBE+U geometry in Alexandria.
Lines closer than 0.1° are merged.

abc: 4.223 8.447 8.608
angles: 90.00 90.00 90.00
Element x y z (fractional)
Mg: 0.000 0.000 0.000
Mg: 0.000 0.000 0.500
Mg: 0.000 0.253 0.246
Mg: 0.000 0.253 0.754
Mg: 0.000 0.747 0.246
Mg: 0.000 0.747 0.754
Mg: 0.500 0.000 0.248
Mg: 0.500 0.000 0.752
Mg: 0.500 0.250 0.500
Mg: 0.500 0.254 0.000
Mg: 0.500 0.500 0.245
Mg: 0.500 0.500 0.755
Mg: 0.500 0.746 0.000
Mg: 0.500 0.750 0.500
Al: 0.000 0.500 0.500
Ni: 0.000 0.500 0.000
O: 0.000 0.000 0.254
O: 0.000 0.000 0.746
O: 0.000 0.243 0.000
O: 0.000 0.261 0.500
O: 0.000 0.500 0.287
O: 0.000 0.500 0.713
O: 0.000 0.739 0.500
O: 0.000 0.757 0.000
O: 0.500 0.000 0.000
O: 0.500 0.000 0.500
O: 0.500 0.251 0.250
O: 0.500 0.251 0.750
O: 0.500 0.500 0.000
O: 0.500 0.500 0.500
O: 0.500 0.749 0.250
O: 0.500 0.749 0.750

Most intense lines, 2θ from 10° to 90°, low angle first:
Position (°2θ)	I/Imax	index
36.6	24	1 2 2
42.0	51	0 0 4
42.8	100	2 0 0
61.5	56	2 0 4
62.2	28	2 4 0
77.9	25	2 4 4